Entry 1:
# Sm6Dy2In
Simulated X-ray diffraction stick pattern, λ = 1.5418 Å (Cu Kα). Input: a structure optimized by DFT (GGA-PBE).
Kinematic intensities with the Lorentz-polarization factor, no thermal factor.

Atomic structure:
```
9
Lattice="8.464 -4.879 0.000 8.464 4.879 0.000 -0.004 0.000 3.435" Properties=species:S:1:pos:R:3 pbc="T T T"
Sm 5.696 1.595 0.004
Sm 8.464 3.164 0.000
Sm 5.696 -1.595 0.004
Sm 11.227 1.595 3.431
Sm 8.464 -3.164 0.000
Sm 11.227 -1.595 3.431
Dy 2.814 0.000 1.718
Dy 14.109 0.000 1.717
In 8.462 0.000 1.717
```

Main lines, sorted by position (10° ≤ 2θ ≤ 90°):
2θ 31.7, I = 100; 2θ 31.9, I = 88; 2θ 41.4, I = 11; 2θ 45.6, I = 32; 2θ 56.6, I = 36; 2θ 56.6, I = 17; 2θ 63.4, I = 27; 2θ 66.3, I = 12

***

Entry 2:
# Sm2Dy5In5
Simulated X-ray diffraction stick pattern, λ = 1.5418 Å (Cu Kα). Input: a structure optimized by DFT (GGA-PBE).
Kinematic intensities with the Lorentz-polarization factor, no thermal factor.

Atomic structure:
```
12
Lattice="5.970 -2.555 0.000 5.970 2.555 0.000 -3.934 0.000 11.299" Properties=species:S:1:pos:R:3 pbc="T T T"
Sm -0.148 0.000 2.910
Sm 8.155 0.000 8.389
Dy 2.202 0.000 5.610
Dy 3.520 0.000 2.507
Dy 5.970 0.000 0.000
Dy 4.487 0.000 8.791
Dy 5.805 0.000 5.689
In -1.967 0.000 5.649
In -1.780 0.000 10.916
In 0.236 0.000 8.130
In 7.771 0.000 3.169
In 9.787 0.000 0.383
```

Main lines, sorted by position (10° ≤ 2θ ≤ 90°):
2θ 29.5, I = 13; 2θ 31.7, I = 49; 2θ 32.6, I = 100; 2θ 32.7, I = 96; 2θ 35.1, I = 49; 2θ 45.6, I = 14; 2θ 48.0, I = 32; 2θ 61.4, I = 32

***

Entry 3:
# Tb2Sm3Dy6In
Simulated X-ray diffraction stick pattern, λ = 1.5418 Å (Cu Kα). Input: a structure optimized by DFT (GGA-PBE).
Kinematic intensities with the Lorentz-polarization factor, no thermal factor.

Atomic structure:
```
12
Lattice="3.060 -5.305 0.000 3.060 5.305 0.000 -2.052 0.000 11.504" Properties=species:S:1:pos:R:3 pbc="T T T"
Tb 3.060 3.542 0.000
Tb 3.060 -3.542 0.000
Sm -1.026 0.000 5.752
Sm 2.034 1.775 5.752
Sm 2.034 -1.775 5.752
Dy 0.012 1.738 8.687
Dy 1.046 0.000 2.832
Dy 0.012 -1.738 8.687
Dy 4.056 1.738 2.817
Dy 3.022 0.000 8.671
Dy 4.056 -1.738 2.817
In 3.060 0.000 0.000
```

Main lines, sorted by position (10° ≤ 2θ ≤ 90°):
2θ 31.0, I = 100; 2θ 31.1, I = 33; 2θ 36.0, I = 67; 2θ 51.7, I = 24; 2θ 51.9, I = 23; 2θ 61.6, I = 33; 2θ 61.7, I = 18; 2θ 64.6, I = 12

***

Q: Which formula does entry 1 have?
A: Sm6Dy2In